Starting from DFT lattice parameters and positions (GGA-PBE), the powder X-ray diffraction pattern of Ac4Th3ScAs8 was computed for Cu Kα X-rays.

Atomic structure:
```
Ac4Th3ScAs8
1.0
4.339 2.505 7.172
-4.339 2.505 7.172
0.000 -5.010 7.172
Ac Th Sc As
4 3 1 8
direct
0.000 0.000 0.000 Ac
0.000 0.500 0.500 Ac
0.500 0.000 0.500 Ac
0.500 0.500 0.000 Ac
0.000 0.000 0.500 Th
0.000 0.500 0.000 Th
0.500 0.000 0.000 Th
0.500 0.500 0.500 Sc
0.244 0.244 0.244 As
0.250 0.738 0.738 As
0.262 0.262 0.750 As
0.262 0.750 0.262 As
0.738 0.250 0.738 As
0.738 0.738 0.250 As
0.750 0.262 0.262 As
0.756 0.756 0.756 As
```

The 8 most intense peaks (2θ = 10–80°), low angle first:
Position (°2θ), I (rel.)
25.10, 276
28.99, 1000
41.28, 377
41.63, 383
51.53, 205
67.81, 167
68.31, 177
75.74, 129


Starting from DFT lattice parameters and positions (GGA-PBE), the powder X-ray diffraction pattern of Ac5AsSe4 was computed for Cu Kα X-rays.

Atomic structure:
```
Ac5AsSe4
1.0
-2.241 2.241 15.861
2.241 -2.241 15.861
2.241 2.241 -15.861
Ac As Se
5 1 4
direct
0.000 0.000 0.000 Ac
0.202 0.202 0.000 Ac
0.402 0.402 0.000 Ac
0.598 0.598 0.000 Ac
0.798 0.798 0.000 Ac
0.500 0.500 0.000 As
0.101 0.101 0.000 Se
0.301 0.301 0.000 Se
0.699 0.699 0.000 Se
0.899 0.899 0.000 Se
```

The 8 most intense peaks (2θ = 10–80°), low angle first:
Position (°2θ), I (rel.)
24.32, 411
28.15, 1000
40.23, 775
47.57, 220
49.82, 281
58.20, 133
65.88, 366
73.12, 271


Starting from DFT lattice parameters and positions (GGA-PBE), the powder X-ray diffraction pattern of AcSnAsSe was computed for Cu Kα X-rays.

Atomic structure:
```
AcSnAsSe
1.0
5.444 0.000 0.000
0.000 5.444 0.000
0.000 0.000 8.293
Ac Sn As Se
2 2 2 2
direct
0.250 0.250 0.174 Ac
0.750 0.750 0.826 Ac
0.250 0.750 0.500 Sn
0.750 0.250 0.500 Sn
0.250 0.250 0.596 As
0.750 0.750 0.404 As
0.250 0.750 0.000 Se
0.750 0.250 0.000 Se
```

The 8 most intense peaks (2θ = 10–80°), low angle first:
Position (°2θ), I (rel.)
19.51, 649
27.03, 846
31.72, 801
32.91, 1000
43.09, 490
47.22, 369
49.96, 332
58.01, 295


Starting from DFT lattice parameters and positions (GGA-PBE), the powder X-ray diffraction pattern of AcThAsSe was computed for Cu Kα X-rays.

Atomic structure:
```
AcThAsSe
1.0
2.125 1.227 7.638
-2.125 1.227 7.638
0.000 -2.454 7.638
Ac Th As Se
1 1 1 1
direct
0.000 0.000 0.000 Ac
0.820 0.820 0.820 Th
0.416 0.416 0.416 As
0.236 0.236 0.236 Se
```

The 8 most intense peaks (2θ = 10–80°), low angle first:
Position (°2θ), I (rel.)
24.50, 414
25.42, 278
28.83, 244
31.17, 1000
36.74, 327
42.55, 501
53.67, 221
65.75, 213


Starting from DFT lattice parameters and positions (GGA-PBE), the powder X-ray diffraction pattern of Ac2TmAs2Se2 was computed for Cu Kα X-rays.

Atomic structure:
```
Ac2TmAs2Se2
1.0
-2.607 2.607 8.011
2.607 -2.607 8.011
2.607 2.607 -8.011
Ac Tm As Se
2 1 2 2
direct
0.133 0.133 0.000 Ac
0.867 0.867 0.000 Ac
0.500 0.500 0.000 Tm
0.000 0.500 0.500 As
0.500 0.000 0.500 As
0.321 0.321 0.000 Se
0.679 0.679 0.000 Se
```

The 8 most intense peaks (2θ = 10–80°), low angle first:
Position (°2θ), I (rel.)
23.85, 723
24.14, 1000
32.81, 669
33.02, 496
34.40, 925
42.29, 337
48.27, 458
49.44, 335


Starting from DFT lattice parameters and positions (GGA-PBE), the powder X-ray diffraction pattern of Ac6SiAs4 was computed for Cu Kα X-rays.

Atomic structure:
```
Ac6SiAs4
1.0
2.255 -7.419 0.000
2.255 7.419 0.000
0.000 0.000 22.780
Ac Si As
12 2 8
direct
0.000 0.000 0.000 Ac
0.000 0.000 0.500 Ac
0.187 0.813 0.750 Ac
0.276 0.724 0.084 Ac
0.276 0.724 0.416 Ac
0.450 0.550 0.665 Ac
0.450 0.550 0.835 Ac
0.550 0.450 0.165 Ac
0.550 0.450 0.335 Ac
0.724 0.276 0.584 Ac
0.724 0.276 0.916 Ac
0.813 0.187 0.250 Ac
0.161 0.839 0.250 Si
0.839 0.161 0.750 Si
0.089 0.911 0.629 As
0.089 0.911 0.871 As
0.362 0.638 0.543 As
0.362 0.638 0.957 As
0.638 0.362 0.043 As
0.638 0.362 0.457 As
0.911 0.089 0.129 As
0.911 0.089 0.371 As
```

The 8 most intense peaks (2θ = 10–80°), low angle first:
Position (°2θ), I (rel.)
23.72, 412
26.37, 1000
27.04, 420
27.89, 805
29.27, 467
39.98, 341
41.50, 440
48.53, 394


Starting from DFT lattice parameters and positions (GGA-PBE), the powder X-ray diffraction pattern of Ac2SmAs3 was computed for Cu Kα X-rays.

Atomic structure:
```
Ac2SmAs3
1.0
0.000 6.284 13.327
4.441 0.000 13.327
4.441 6.284 0.000
Ac Sm As
8 4 12
direct
0.042 0.042 0.208 Ac
0.124 0.124 0.626 Ac
0.208 0.208 0.042 Ac
0.374 0.374 0.876 Ac
0.626 0.626 0.124 Ac
0.792 0.792 0.958 Ac
0.876 0.876 0.374 Ac
0.958 0.958 0.792 Ac
0.291 0.291 0.459 Sm
0.459 0.459 0.291 Sm
0.541 0.541 0.709 Sm
0.709 0.709 0.541 Sm
0.039 0.540 0.223 As
0.138 0.612 0.612 As
0.223 0.698 0.039 As
0.302 0.777 0.460 As
0.388 0.862 0.862 As
0.460 0.961 0.302 As
0.540 0.039 0.698 As
0.612 0.138 0.138 As
0.698 0.223 0.540 As
0.777 0.302 0.961 As
0.862 0.388 0.388 As
0.961 0.460 0.777 As
```

The 8 most intense peaks (2θ = 10–80°), low angle first:
Position (°2θ), I (rel.)
24.54, 358
28.41, 1000
40.62, 768
48.03, 193
50.31, 276
58.79, 130
66.57, 356
73.91, 263


Starting from DFT lattice parameters and positions (GGA-PBE), the powder X-ray diffraction pattern of Ac4SmTh3As8 was computed for Cu Kα X-rays.

Atomic structure:
```
Ac4SmTh3As8
1.0
4.374 2.526 7.213
-4.374 2.526 7.213
0.000 -5.051 7.213
Ac Sm Th As
4 1 3 8
direct
0.000 0.000 0.000 Ac
0.000 0.500 0.500 Ac
0.500 0.000 0.500 Ac
0.500 0.500 0.000 Ac
0.500 0.500 0.500 Sm
0.000 0.000 0.500 Th
0.000 0.500 0.000 Th
0.500 0.000 0.000 Th
0.243 0.744 0.744 As
0.244 0.244 0.244 As
0.256 0.256 0.757 As
0.256 0.757 0.256 As
0.744 0.243 0.744 As
0.744 0.744 0.243 As
0.756 0.756 0.756 As
0.757 0.256 0.256 As
```

The 8 most intense peaks (2θ = 10–80°), low angle first:
Position (°2θ), I (rel.)
24.90, 305
28.77, 1000
41.00, 382
41.28, 385
51.09, 208
67.30, 174
67.69, 180
75.06, 132


Starting from DFT lattice parameters and positions (GGA-PBE), the powder X-ray diffraction pattern of Ac4TbAs5 was computed for Cu Kα X-rays.

Atomic structure:
```
Ac4TbAs5
1.0
-4.999 4.999 3.173
4.999 -4.999 3.173
4.999 4.999 -3.173
Ac Tb As
4 1 5
direct
0.098 0.701 0.799 Ac
0.299 0.098 0.397 Ac
0.701 0.902 0.603 Ac
0.902 0.299 0.201 Ac
0.500 0.500 0.000 Tb
0.001 0.001 0.000 As
0.212 0.404 0.616 As
0.404 0.788 0.193 As
0.596 0.212 0.807 As
0.788 0.596 0.384 As
```

The 8 most intense peaks (2θ = 10–80°), low angle first:
Position (°2θ), I (rel.)
24.35, 512
28.12, 435
28.23, 860
40.30, 1000
47.69, 185
49.90, 359
66.06, 306
73.30, 227


Starting from DFT lattice parameters and positions (GGA-PBE), the powder X-ray diffraction pattern of Ac2TbAs3 was computed for Cu Kα X-rays.

Atomic structure:
```
Ac2TbAs3
1.0
0.000 6.252 13.258
4.415 0.000 13.258
4.415 6.252 0.000
Ac Tb As
8 4 12
direct
0.042 0.042 0.208 Ac
0.124 0.124 0.626 Ac
0.208 0.208 0.042 Ac
0.374 0.374 0.876 Ac
0.626 0.626 0.124 Ac
0.792 0.792 0.958 Ac
0.876 0.876 0.374 Ac
0.958 0.958 0.792 Ac
0.291 0.291 0.459 Tb
0.459 0.459 0.291 Tb
0.541 0.541 0.709 Tb
0.709 0.709 0.541 Tb
0.038 0.539 0.227 As
0.142 0.608 0.608 As
0.227 0.696 0.038 As
0.304 0.773 0.461 As
0.392 0.858 0.858 As
0.461 0.962 0.304 As
0.539 0.038 0.696 As
0.608 0.142 0.142 As
0.696 0.227 0.539 As
0.773 0.304 0.962 As
0.858 0.392 0.392 As
0.962 0.461 0.773 As
```

The 8 most intense peaks (2θ = 10–80°), low angle first:
Position (°2θ), I (rel.)
24.68, 370
28.57, 1000
40.85, 765
48.31, 201
50.60, 274
59.14, 128
66.97, 351
74.37, 258